# 1
Starting from a cell relaxed with GGA+U, the XRD peak list of Ba2CdMoO6 was calculated for a wavelength of 1.5418 Å.

Lattice parameters (Å, degrees): 5.9926 5.9926 5.9926 60.00 60.00 60.00
Positions (direct):
Ba  0.2500  0.2500  0.2500
Ba  0.7500  0.7500  0.7500
Cd  0.0000  0.0000  0.0000
Mo  0.5000  0.5000  0.5000
O  0.2700  0.2700  0.7300
O  0.2700  0.7300  0.2700
O  0.2700  0.7300  0.7300
O  0.7300  0.2700  0.2700
O  0.7300  0.2700  0.7300
O  0.7300  0.7300  0.2700

Main lines, in order of rising 2θ (2θ = 10–80°):
Position (°2θ)	I_rel
29.82	100
36.74	4
42.68	30
52.93	39
61.94	18
70.24	18
74.23	1
78.13	6

# 2
Starting from a cell relaxed with GGA+U, the XRD peak list of BaV2CdO7 was calculated for a wavelength of 1.5418 Å.

Lattice parameters (Å, degrees): 15.6616 5.7991 7.6417 90.00 90.00 90.00
Positions (direct):
Ba  0.2147  0.2500  0.1403
Ba  0.2853  0.7500  0.6403
Ba  0.7147  0.2500  0.3597
Ba  0.7853  0.7500  0.8597
V  0.0613  0.7500  0.2974
V  0.1403  0.2500  0.6662
V  0.3597  0.7500  0.1662
V  0.4387  0.2500  0.7974
V  0.5613  0.7500  0.2026
V  0.6403  0.2500  0.8338
V  0.8597  0.7500  0.3338
V  0.9387  0.2500  0.7026
Cd  0.0509  0.7500  0.8825
Cd  0.4491  0.2500  0.3825
Cd  0.5509  0.7500  0.6175
Cd  0.9491  0.2500  0.1175
O  0.0338  0.2500  0.5666
O  0.0591  0.5090  0.1585
O  0.0591  0.9910  0.1585
O  0.1512  0.0094  0.7992
O  0.1512  0.4906  0.7992
O  0.1521  0.7500  0.4132
O  0.2204  0.2500  0.5180
O  0.2796  0.7500  0.0180
O  0.3479  0.2500  0.9132
O  0.3488  0.5094  0.2992
O  0.3488  0.9906  0.2992
O  0.4409  0.0090  0.6585
O  0.4409  0.4910  0.6585
O  0.4662  0.7500  0.0666
O  0.5338  0.2500  0.9334
O  0.5591  0.5090  0.3415
O  0.5591  0.9910  0.3415
O  0.6512  0.0094  0.7008
O  0.6512  0.4906  0.7008
O  0.6521  0.7500  0.0868
O  0.7204  0.2500  0.9820
O  0.7796  0.7500  0.4820
O  0.8479  0.2500  0.5868
O  0.8488  0.5094  0.2008
O  0.8488  0.9906  0.2008
O  0.9409  0.0090  0.8415
O  0.9409  0.4910  0.8415
O  0.9662  0.7500  0.4334

Main lines, in order of rising 2θ (2θ = 10–80°):
Position (°2θ)	I_rel
12.89	29
23.97	18
25.75	45
27.49	92
28.55	100
28.96	34
29.92	32
30.84	53
38.62	16
40.47	18
42.81	35
53.44	18

# 3
Starting from a cell relaxed with GGA+U, the XRD peak list of Ba2CeCrO6 was calculated for a wavelength of 1.5418 Å.

Lattice parameters (Å, degrees): 5.9628 5.9628 5.9628 60.00 60.00 60.00
Positions (direct):
Ba  0.2500  0.2500  0.2500
Ba  0.7500  0.7500  0.7500
Ce  0.0000  0.0000  0.0000
Cr  0.5000  0.5000  0.5000
O  0.2656  0.2656  0.7344
O  0.2656  0.7344  0.2656
O  0.2656  0.7344  0.7344
O  0.7344  0.2656  0.2656
O  0.7344  0.2656  0.7344
O  0.7344  0.7344  0.2656

Main lines, in order of rising 2θ (2θ = 10–80°):
Position (°2θ)	I_rel
18.22	7
29.97	100
35.30	6
36.93	6
42.90	31
46.97	3
53.21	40
56.72	2
62.28	19
70.65	18
74.66	2
78.60	6